(1)
Diffraction record for La4SiPt4. The powder diffraction line list is calculated, not measured: it uses a GGA-PBE-relaxed structure and Cu Kα X-rays.
Intensities are scaled so that the largest is 100.

Structural model:
Cell: 8.4976 8.4976 6.5524 Å, 90.00 90.00 90.00°
Sites, in units of the cell vectors:
1 La 0.0257 0.2500 0.0654
2 La 0.2500 0.0257 0.5654
3 La 0.2500 0.4743 0.5654
4 La 0.4743 0.2500 0.0654
5 La 0.5257 0.7500 0.9346
6 La 0.7500 0.5257 0.4346
7 La 0.7500 0.9743 0.4346
8 La 0.9743 0.7500 0.9346
9 Si 0.2500 0.7500 0.2500
10 Si 0.7500 0.2500 0.7500
11 Pt 0.0200 0.7500 0.4715
12 Pt 0.2500 0.5200 0.0285
13 Pt 0.2500 0.9800 0.0285
14 Pt 0.4800 0.7500 0.4715
15 Pt 0.5200 0.2500 0.5285
16 Pt 0.7500 0.0200 0.9715
17 Pt 0.7500 0.4800 0.9715
18 Pt 0.9800 0.2500 0.5285

Largest 10 diffraction maxima, by angle, 15° ≤ 2θ ≤ 90°:
d 3.277, I 49
d 3.057, I 17
d 3.004, I 100
d 2.484, I 33
d 2.214, I 66
d 2.124, I 38
d 1.782, I 28
d 1.503, I 19
d 1.344, I 19
d 1.243, I 15

---

(2)
Diffraction record for La2Si7Pt12. The powder diffraction line list is calculated, not measured: it uses a GGA-PBE-relaxed structure and Cu Kα X-rays.
Intensities are scaled so that the largest is 100.

Structural model:
Cell: 10.0190 10.0190 4.0118 Å, 90.00 90.00 120.00°
Sites, in units of the cell vectors:
1 La 0.0000 0.0000 0.0000
2 La 0.3333 0.6667 0.5000
3 Si 0.0673 0.6196 0.0000
4 Si 0.2670 0.0439 0.5000
5 Si 0.3804 0.4477 0.0000
6 Si 0.5523 0.9327 0.0000
7 Si 0.6667 0.3333 0.0000
8 Si 0.7769 0.7330 0.5000
9 Si 0.9561 0.2231 0.5000
10 Pt 0.0468 0.7841 0.5000
11 Pt 0.1177 0.4036 0.0000
12 Pt 0.2159 0.2627 0.5000
13 Pt 0.2859 0.8823 0.0000
14 Pt 0.3984 0.2147 0.0000
15 Pt 0.5234 0.0744 0.5000
16 Pt 0.5510 0.4766 0.5000
17 Pt 0.5964 0.7141 0.0000
18 Pt 0.7373 0.9532 0.5000
19 Pt 0.7853 0.1836 0.0000
20 Pt 0.8164 0.6016 0.0000
21 Pt 0.9256 0.4490 0.5000

Largest 10 diffraction maxima, by angle, 15° ≤ 2θ ≤ 90°:
d 3.279, I 19
d 2.539, I 100
d 2.064, I 10
d 2.006, I 17
d 1.991, I 17
d 1.893, I 15
d 1.413, I 11
d 1.377, I 11
d 1.313, I 10
d 1.239, I 14

---

(3)
Diffraction record for La3Si4Pt7. The powder diffraction line list is calculated, not measured: it uses a GGA-PBE-relaxed structure and Cu Kα X-rays.
Intensities are scaled so that the largest is 100.

Structural model:
Cell: 8.2460 8.2460 9.7636 Å, 124.96 124.96 29.16°
Sites, in units of the cell vectors:
1 La 0.0000 0.0000 0.0000
2 La 0.3295 0.3295 0.3315
3 La 0.6705 0.6705 0.6685
4 Si 0.1097 0.1097 0.8256
5 Si 0.3305 0.3305 0.7201
6 Si 0.6695 0.6695 0.2799
7 Si 0.8903 0.8903 0.1744
8 Pt 0.0000 0.0000 0.5000
9 Pt 0.1694 0.1694 0.4152
10 Pt 0.3040 0.3040 0.9542
11 Pt 0.4927 0.4927 0.7418
12 Pt 0.5073 0.5073 0.2582
13 Pt 0.6960 0.6960 0.0458
14 Pt 0.8306 0.8306 0.5848

Largest 10 diffraction maxima, by angle, 15° ≤ 2θ ≤ 90°:
d 3.059, I 31
d 2.564, I 100
d 2.526, I 45
d 2.449, I 26
d 2.440, I 17
d 2.364, I 15
d 2.144, I 26
d 2.076, I 35
d 1.491, I 17
d 1.418, I 20

---

(4)
Diffraction record for La4SiPt3. The powder diffraction line list is calculated, not measured: it uses a GGA-PBE-relaxed structure and Cu Kα X-rays.
Intensities are scaled so that the largest is 100.

Structural model:
Cell: 4.1283 4.4072 11.3061 Å, 90.00 90.00 90.00°
Sites, in units of the cell vectors:
1 La 0.0000 0.0000 0.0000
2 La 0.0000 0.5000 0.2714
3 La 0.5000 0.0000 0.4960
4 La 0.5000 0.5000 0.7725
5 Si 0.0000 0.0000 0.7063
6 Pt 0.0000 0.5000 0.5575
7 Pt 0.5000 0.0000 0.2250
8 Pt 0.5000 0.5000 0.0424

Largest 10 diffraction maxima, by angle, 15° ≤ 2θ ≤ 90°:
d 5.653, I 13
d 2.911, I 100
d 2.827, I 32
d 2.783, I 17
d 2.379, I 23
d 2.353, I 80
d 2.204, I 28
d 2.064, I 24
d 1.738, I 15
d 1.506, I 17

---

(5)
Diffraction record for LaSi2Pt3. The powder diffraction line list is calculated, not measured: it uses a GGA-PBE-relaxed structure and Cu Kα X-rays.
Intensities are scaled so that the largest is 100.

Structural model:
Cell: 7.8862 7.8862 7.6233 Å, 112.93 112.93 30.37°
Sites, in units of the cell vectors:
1 La 0.1573 0.1573 0.0801
2 La 0.8427 0.8427 0.9199
3 Si 0.1768 0.1768 0.6449
4 Si 0.4852 0.4852 0.8327
5 Si 0.5148 0.5148 0.1673
6 Si 0.8232 0.8232 0.3551
7 Pt 0.0320 0.0320 0.3426
8 Pt 0.3204 0.3204 0.5800
9 Pt 0.3858 0.3858 0.2770
10 Pt 0.6142 0.6142 0.7230
11 Pt 0.6796 0.6796 0.4200
12 Pt 0.9680 0.9680 0.6574

Largest 10 diffraction maxima, by angle, 15° ≤ 2θ ≤ 90°:
d 3.086, I 24
d 2.780, I 19
d 2.698, I 23
d 2.578, I 100
d 2.533, I 47
d 2.323, I 16
d 2.315, I 69
d 2.066, I 36
d 1.601, I 25
d 1.532, I 17

---

(6)
Diffraction record for LaSi2Pt2. The powder diffraction line list is calculated, not measured: it uses a GGA-PBE-relaxed structure and Cu Kα X-rays.
Intensities are scaled so that the largest is 100.

Structural model:
Cell: 4.3255 4.3255 9.8698 Å, 90.00 90.00 90.00°
Sites, in units of the cell vectors:
1 La 0.2500 0.2500 0.2447
2 La 0.7500 0.7500 0.7553
3 Si 0.2500 0.2500 0.6289
4 Si 0.2500 0.7500 0.0000
5 Si 0.7500 0.2500 0.0000
6 Si 0.7500 0.7500 0.3711
7 Pt 0.2500 0.2500 0.8797
8 Pt 0.2500 0.7500 0.5000
9 Pt 0.7500 0.2500 0.5000
10 Pt 0.7500 0.7500 0.1203

Largest 10 diffraction maxima, by angle, 15° ≤ 2θ ≤ 90°:
d 3.290, I 29
d 3.253, I 35
d 2.922, I 93
d 2.619, I 77
d 2.600, I 100
d 2.163, I 82
d 1.920, I 32
d 1.668, I 40
d 1.529, I 28
d 1.318, I 24

---

(7)
Diffraction record for La2TiSi3Pt4. The powder diffraction line list is calculated, not measured: it uses a GGA-PBE-relaxed structure and Cu Kα X-rays.
Intensities are scaled so that the largest is 100.

Structural model:
Cell: 4.3379 4.3379 10.0384 Å, 90.00 90.00 90.00°
Sites, in units of the cell vectors:
1 La 0.0000 0.5000 0.2486
2 La 0.5000 0.0000 0.7514
3 Ti 0.0000 0.0000 0.5000
4 Si 0.0000 0.5000 0.8747
5 Si 0.5000 0.0000 0.1253
6 Si 0.5000 0.5000 0.5000
7 Pt 0.0000 0.0000 0.0000
8 Pt 0.0000 0.5000 0.6338
9 Pt 0.5000 0.0000 0.3662
10 Pt 0.5000 0.5000 0.0000

Largest 10 diffraction maxima, by angle, 15° ≤ 2θ ≤ 90°:
d 3.282, I 32
d 2.933, I 60
d 2.649, I 50
d 2.617, I 100
d 2.169, I 68
d 1.942, I 27
d 1.821, I 43
d 1.678, I 26
d 1.395, I 28
d 1.323, I 26

---

(8)
Diffraction record for La2Sm2Pt3. The powder diffraction line list is calculated, not measured: it uses a GGA-PBE-relaxed structure and Cu Kα X-rays.
Intensities are scaled so that the largest is 100.

Structural model:
Cell: 7.8273 7.8273 7.8273 Å, 109.47 109.47 109.47°
Sites, in units of the cell vectors:
1 La 0.0000 0.6193 0.5000
2 La 0.5000 0.0000 0.6193
3 La 0.6193 0.5000 0.0000
4 La 0.8807 0.8807 0.8807
5 Sm 0.0000 0.1210 0.5000
6 Sm 0.1210 0.5000 0.0000
7 Sm 0.3790 0.3790 0.3790
8 Sm 0.5000 0.0000 0.1210
9 Pt 0.1334 0.8834 0.2500
10 Pt 0.2500 0.1334 0.8834
11 Pt 0.3666 0.6166 0.7500
12 Pt 0.6166 0.7500 0.3666
13 Pt 0.7500 0.3666 0.6166
14 Pt 0.8834 0.2500 0.1334

Largest 10 diffraction maxima, by angle, 15° ≤ 2θ ≤ 90°:
d 3.690, I 12
d 2.858, I 100
d 2.416, I 52
d 2.021, I 18
d 1.927, I 13
d 1.845, I 10
d 1.773, I 27
d 1.466, I 27
d 1.395, I 11
d 1.230, I 21